1.
Structure and theoretical XRD peak list of Pr13Er3 (a cell relaxed with GGA-PBE; Cu Kα (weighted mean of Kα1 and Kα2)).
Intensities are scaled so that the largest is 1000.

Main lines, by angle (2θ from 15° to 90°):
2θ 29.79, I = 1000
2θ 34.50, I = 339
2θ 34.59, I = 168
2θ 49.64, I = 363
2θ 58.93, I = 289
2θ 59.05, I = 144

Crystal structure
a = 10.408 Å, b = 7.340 Å, c = 7.340 Å
α = 89.91°, β = 90.00°, γ = 90.00°
Fractional coordinates of all 16 atoms:
Pr 0.000 0.000 0.000
Pr 0.000 0.000 0.494
Pr 0.000 0.494 0.000
Pr 0.000 0.494 0.494
Pr 0.251 0.748 0.748
Pr 0.252 0.245 0.748
Pr 0.252 0.748 0.245
Pr 0.500 0.000 0.494
Pr 0.500 0.494 0.000
Pr 0.500 0.494 0.494
Pr 0.748 0.245 0.748
Pr 0.748 0.748 0.245
Pr 0.749 0.748 0.748
Er 0.252 0.245 0.245
Er 0.500 0.000 0.000
Er 0.748 0.245 0.245

---

2.
Structure and theoretical XRD peak list of TbCePm (a cell relaxed with GGA-PBE; Cu Kα (weighted mean of Kα1 and Kα2)).
Intensities are scaled so that the largest is 1000.

Main lines, by angle (2θ from 15° to 90°):
2θ 30.45, I = 537
2θ 31.64, I = 476
2θ 31.76, I = 408
2θ 31.97, I = 1000
2θ 33.09, I = 303
2θ 63.03, I = 285

Crystal structure
a = 13.015 Å, b = 3.470 Å, c = 9.765 Å
α = 90.00°, β = 120.67°, γ = 90.00°
Fractional coordinates of all 12 atoms:
Tb 0.132 0.000 0.178
Tb 0.368 0.500 0.822
Tb 0.632 0.500 0.178
Tb 0.868 0.000 0.822
Ce 0.115 0.000 0.510
Ce 0.385 0.500 0.490
Ce 0.615 0.500 0.510
Ce 0.885 0.000 0.490
Pm 0.113 0.500 0.840
Pm 0.387 0.000 0.160
Pm 0.613 0.000 0.840
Pm 0.887 0.500 0.160

---

- What is the formula in the second record?
  TbCePm